Structure and theoretical powder X-ray diffraction pattern of Li2Fe3F8 (a cell relaxed with PBE+U; a wavelength of 1.5418 Å).
Peak positions follow from Bragg's law for the DFT cell and can differ from measured ones.

Main lines, by angle (10° ≤ 2θ ≤ 80°):
2θ/deg, intensity
18.7, 100
28.8, 22
34.1, 36
37.9, 31
43.7, 47
51.5, 21
59.1, 25
60.4, 31

Structure:
```
data_Li2Fe3F8
_chemical_formula_sum 'Li4 Fe6 F16'
_cell_length_a 5.333
_cell_length_b 9.509
_cell_length_c 6.387
_cell_angle_alpha 90.00
_cell_angle_beta 90.00
_cell_angle_gamma 90.00
_symmetry_space_group_name_H-M 'P n n m'
_symmetry_Int_Tables_number 58
_symmetry_space_group_name_Hall '-P 2 2n'
loop_
_atom_site_label
_atom_site_type_symbol
_atom_site_fract_x
_atom_site_fract_y
_atom_site_fract_z
_atom_site_occupancy
Li1 Li 0.018 0.185 0.000 1
Fe1 Fe 0.000 0.000 0.500 1
Fe2 Fe 0.000 0.500 0.263 1
F1 F 0.154 0.381 0.000 1
F2 F 0.178 0.114 0.263 1
F3 F 0.182 0.389 0.500 1
```